Entry 1:
Computed XRD peak list
Compound: Pr5Zn2Bi
Radiation: Cu Kα (weighted mean of Kα1 and Kα2)
Structure: a crystal structure in Alexandria, relaxed with PBE
Lines closer than 0.1° are merged.

Peak list (10 most intense, 2θ = 15–90°, most intense first)
- 31.0 deg, d = 2.885 Å, I = 100.0, hkl 2 1 3
- 32.9 deg, d = 2.723 Å, I = 65.3, hkl 3 1 0
- 34.4 deg, d = 2.604 Å, I = 23.7, hkl 2 0 4
- 61.8 deg, d = 1.501 Å, I = 20.0, hkl 5 2 3
- 53.1 deg, d = 1.724 Å, I = 14.8, hkl 3 3 4
- 29.3 deg, d = 3.045 Å, I = 13.8, hkl 2 2 0
- 50.8 deg, d = 1.798 Å, I = 13.7, hkl 4 0 4
- 24.1 deg, d = 3.694 Å, I = 13.6, hkl 2 1 1
- 47.2 deg, d = 1.926 Å, I = 11.9, hkl 4 2 0
- 66.7 deg, d = 1.402 Å, I = 11.9, hkl 3 1 8

Cell and atoms:
Cell lengths 8.6114, 8.6114, 13.0793 Å; angles 90.00, 90.00, 90.00 degrees
Space group I4/mcm (No. 140)
Symmetry-distinct sites (fractional):
Pr1 0.0000 0.0000 0.0000 x4
Pr2 0.1513 0.3487 0.1432 x16
Zn1 0.1454 0.3546 0.5000 x8
Bi1 0.0000 0.0000 0.2500 x4



Entry 2:
Computed XRD peak list
Compound: Ac3NiB7
Radiation: Cu Kα (weighted mean of Kα1 and Kα2)
Structure: a crystal structure in Alexandria, relaxed with PBE
Lines closer than 0.1° are merged.

Peak list (10 most intense, 2θ = 15–90°, most intense first)
- 22.9 deg, d = 3.879 Å, I = 100.0, hkl 0 3 1
- 30.3 deg, d = 2.946 Å, I = 52.1, hkl 1 3 -1
- 23.2 deg, d = 3.827 Å, I = 50.3, hkl 1 0 0
- 30.1 deg, d = 2.966 Å, I = 42.2, hkl 1 3 0
- 32.2 deg, d = 2.783 Å, I = 36.3, hkl 1 2 1
- 28.9 deg, d = 3.089 Å, I = 35.8, hkl 0 2 2
- 23.5 deg, d = 3.781 Å, I = 32.9, hkl 1 0 -1
- 51.5 deg, d = 1.773 Å, I = 32.6, hkl 1 5 2
- 52.2 deg, d = 1.752 Å, I = 31.4, hkl 1 5 -3
- 26.7 deg, d = 3.339 Å, I = 29.4, hkl 0 1 2

Cell and atoms:
Cell lengths 3.9594, 14.0955, 7.1119 Å; angles 90.00, 104.87, 90.00 degrees
Space group P2_1/m (No. 11)
Symmetry-distinct sites (fractional):
Ac1 0.0310 0.2500 0.1226 x2
Ac2 0.1273 0.5550 0.2742 x4
Ni1 0.2411 0.2500 0.5631 x2
B1 0.2296 0.7500 0.3690 x2
B2 0.3327 0.6888 0.5814 x4
B3 0.3887 0.6026 0.7364 x4
B4 0.4717 0.5495 0.9386 x4